# 1
The following is a calculated X-ray diffraction stick pattern of Ba2NbCdTe. It was derived from the GGA-PBE geometry in Alexandria, using λ = 1.5418 Å (Cu Kα).
Neutral-atom scattering factors, no anomalous dispersion.

Top 6 peaks for 2θ from 5° to 70°, low angle first:
2θ (°)  I_rel
25.48  78.8
26.91  100.0
38.42  38.4
44.01  51.9
46.67  29.8
52.34  31.6

Crystal structure
a = 6.6265 Å, b = 6.6265 Å, c = 5.2498 Å
α = 90.00°, β = 90.00°, γ = 90.00°
Atoms (fractional coordinates):
Ba  0.0000  0.5000  0.0000
Ba  0.5000  0.0000  0.0000
Nb  0.0000  0.0000  0.5000
Cd  0.5000  0.5000  0.5000
Te  0.0000  0.0000  0.0000

# 2
The following is a calculated X-ray diffraction stick pattern of Ni13Ir2. It was derived from the GGA-PBE geometry in Alexandria, using λ = 1.5418 Å (Cu Kα).
Neutral-atom scattering factors, no anomalous dispersion.

Top 6 peaks for 2θ from 5° to 70°, low angle first:
2θ (°)  I_rel
28.18  43.7
44.16  100.0
44.32  98.6
51.05  32.1
51.72  30.7
51.85  30.4

Crystal structure
a = 4.3626 Å, b = 6.6129 Å, c = 6.6431 Å
α = 73.22°, β = 76.86°, γ = 89.23°
Atoms (fractional coordinates):
Ni  0.0000  0.0000  0.0000
Ni  0.0640  0.1239  0.3135
Ni  0.1884  0.3741  0.9423
Ni  0.2505  0.5037  0.2461
Ni  0.3141  0.6309  0.5647
Ni  0.3774  0.7526  0.8690
Ni  0.4382  0.8795  0.1868
Ni  0.5618  0.1205  0.8132
Ni  0.6226  0.2474  0.1310
Ni  0.6859  0.3691  0.4353
Ni  0.7495  0.4963  0.7539
Ni  0.8116  0.6259  0.0577
Ni  0.9360  0.8761  0.6865
Ir  0.1315  0.2449  0.6230
Ir  0.8685  0.7551  0.3770